# 1
AcSb4I: simulated X-ray diffraction stick pattern (Cu Kα, 1.54184 Å), based on DFT lattice parameters and positions (PBE).

Main lines, by intensity (5 to 70 degrees two-theta):
- 32.73°, d 2.737, rel. 100
- 27.80°, d 3.209, rel. 38
- 52.38°, d 1.747, rel. 36
- 34.22°, d 2.620, rel. 30
- 57.44°, d 1.604, rel. 28
- 49.18°, d 1.853, rel. 16
- 67.70°, d 1.384, rel. 12
- 68.59°, d 1.368, rel. 11
- 64.99°, d 1.435, rel. 7
- 19.56°, d 4.538, rel. 4
- 16.92°, d 5.240, rel. 2
- 43.46°, d 2.082, rel. 2

Atomic structure:
a = 6.4177 Å, b = 6.4177 Å, c = 6.4177 Å
α = 60.00°, β = 60.00°, γ = 60.00°
Element x y z (fractional)
Ac 0.0000 0.0000 0.0000
Sb 0.3778 0.3778 0.3778
Sb 0.3778 0.3778 0.8667
Sb 0.3778 0.8667 0.3778
Sb 0.8667 0.3778 0.3778
I 0.7500 0.7500 0.7500

# 2
AcSeI: simulated X-ray diffraction stick pattern (Cu Kα, 1.54184 Å), based on DFT lattice parameters and positions (PBE).

Main lines, by intensity (5 to 70 degrees two-theta):
- 7.98°, d 11.076, rel. 100
- 16.86°, d 5.258, rel. 82
- 26.52°, d 3.361, rel. 38
- 29.91°, d 2.987, rel. 33
- 22.88°, d 3.887, rel. 31
- 28.41°, d 3.141, rel. 27
- 40.40°, d 2.233, rel. 25
- 38.02°, d 2.367, rel. 25
- 36.25°, d 2.478, rel. 22
- 32.20°, d 2.780, rel. 19
- 41.73°, d 2.165, rel. 17
- 43.57°, d 2.077, rel. 16

Atomic structure:
a = 4.7788 Å, b = 5.9742 Å, c = 11.1967 Å
α = 90.00°, β = 98.41°, γ = 90.00°
Element x y z (fractional)
Ac 0.2069 0.2500 0.3745
Ac 0.7931 0.7500 0.6255
Se 0.2310 0.7500 0.4447
Se 0.7690 0.2500 0.5553
I 0.3641 0.7500 0.8329
I 0.6359 0.2500 0.1671

# 3
Ac5Si4I2: simulated X-ray diffraction stick pattern (Cu Kα, 1.54184 Å), based on DFT lattice parameters and positions (PBE).

Main lines, by intensity (5 to 70 degrees two-theta):
- 25.22°, d 3.531, rel. 100
- 25.40°, d 3.507, rel. 87
- 22.41°, d 3.966, rel. 66
- 24.26°, d 3.669, rel. 61
- 30.39°, d 2.941, rel. 60
- 21.71°, d 4.094, rel. 50
- 30.91°, d 2.893, rel. 42
- 35.61°, d 2.521, rel. 39
- 12.02°, d 7.361, rel. 38
- 36.62°, d 2.454, rel. 32
- 42.78°, d 2.114, rel. 27
- 39.06°, d 2.306, rel. 27

Atomic structure:
a = 8.2296 Å, b = 8.2296 Å, c = 8.2753 Å
α = 113.07°, β = 113.07°, γ = 61.82°
Element x y z (fractional)
Ac 0.0000 0.0000 0.0000
Ac 0.0843 0.5807 0.3369
Ac 0.4193 0.9157 0.6631
Ac 0.5807 0.0843 0.3369
Ac 0.9157 0.4193 0.6631
Si 0.0054 0.0054 0.3645
Si 0.1848 0.1848 0.4060
Si 0.8152 0.8152 0.5940
Si 0.9946 0.9946 0.6355
I 0.4892 0.4892 0.7246
I 0.5108 0.5108 0.2754